1.
Simulated powder X-ray diffraction pattern of Pr3ZnPd4 for λ = 1.5418 Å (Cu Kα), from a GGA-PBE-relaxed structure.
Intensities are scaled so that the largest is 1000.

Atomic structure:
```
8
Lattice="-2.128 2.916 7.928 2.128 -2.916 7.928 2.128 2.916 -7.928" Properties=species:S:1:pos:R:3 pbc="T T T"
Pr 0.000 0.000 0.000
Pr 2.128 0.000 4.763
Pr 0.000 2.916 3.165
Zn 0.000 0.000 7.928
Pd 2.128 1.331 -1.941
Pd 2.128 1.331 1.941
Pd 0.000 1.585 5.987
Pd 0.000 1.585 9.869
```

Largest 12 diffraction maxima, in order of falling intensity, 2θ from 10° to 90°:
| 2theta | I (rel.) |
| --- | --- |
| 28.29 | 1000 |
| 35.29 | 673 |
| 38.32 | 585 |
| 37.82 | 499 |
| 42.47 | 370 |
| 41.23 | 361 |
| 58.52 | 333 |
| 22.70 | 303 |
| 53.05 | 178 |
| 79.71 | 143 |
| 71.50 | 136 |
| 53.35 | 134 |

2.
Simulated powder X-ray diffraction pattern of PrZn11Pd for λ = 1.5418 Å (Cu Kα), from a GGA-PBE-relaxed structure.
Intensities are scaled so that the largest is 1000.

Atomic structure:
```
13
Lattice="2.594 -6.396 0.000 2.594 6.396 0.000 -2.561 0.000 6.384" Properties=species:S:1:pos:R:3 pbc="T T T"
Pr 0.000 0.000 0.000
Zn 1.297 3.198 0.000
Zn 0.077 4.138 4.104
Zn 0.034 1.423 4.972
Zn 2.550 4.138 2.280
Zn 2.593 1.423 1.412
Zn 1.297 -3.198 0.000
Zn 1.314 0.000 3.192
Zn 0.034 -1.423 4.972
Zn 0.077 -4.138 4.104
Zn 2.593 -1.423 1.412
Zn 2.550 -4.138 2.280
Pd -1.281 0.000 3.192
```

Largest 12 diffraction maxima, in order of falling intensity, 2θ from 10° to 90°:
| 2theta | I (rel.) |
| --- | --- |
| 39.90 | 1000 |
| 40.03 | 418 |
| 44.87 | 305 |
| 40.14 | 302 |
| 34.51 | 280 |
| 44.99 | 224 |
| 72.44 | 204 |
| 27.95 | 129 |
| 34.37 | 128 |
| 86.06 | 117 |
| 72.69 | 106 |
| 65.56 | 72 |